Dy2Ho3Ga4: simulated PXRD pattern (copper Kα), based on a crystal structure in Alexandria, relaxed with GGA-PBE.
Peak positions follow from Bragg's law for the DFT cell and can differ from measured ones.

abc: 7.9242 7.9689 7.3198
angles: 90.00 106.27 90.00
Fractional coordinates of all 18 atoms:
Dy1 0.1875 0.1867 0.0716
Dy2 0.1875 0.3133 0.5716
Dy3 0.8125 0.6867 0.4284
Dy4 0.8125 0.8133 0.9284
Ho1 0.2376 0.6737 0.2522
Ho2 0.2376 0.8263 0.7522
Ho3 0.5000 0.0000 0.5000
Ho4 0.5000 0.5000 0.0000
Ho5 0.7624 0.1737 0.2478
Ho6 0.7624 0.3263 0.7478
Ga1 0.0817 0.5290 0.8615
Ga2 0.0817 0.9710 0.3615
Ga3 0.4859 0.1264 0.8799
Ga4 0.4859 0.3736 0.3799
Ga5 0.5141 0.6264 0.6201
Ga6 0.5141 0.8736 0.1201
Ga7 0.9183 0.0290 0.6385
Ga8 0.9183 0.4710 0.1385

Largest 10 diffraction maxima, in order of rising 2θ, 2θ from 15° to 90°:
2θ/deg  intensity
29.8  20
31.5  30
32.5  100
32.9  63
33.6  26
35.4  26
36.2  38
37.5  23
38.6  36
54.2  18

---

La3CePm4: simulated PXRD pattern (copper Kα), based on a crystal structure in Alexandria, relaxed with GGA-PBE.
Peak positions follow from Bragg's law for the DFT cell and can differ from measured ones.

abc: 13.1076 13.1076 6.2118
angles: 95.45 95.45 15.29
Fractional coordinates of all 8 atoms:
La1 0.0000 0.0000 0.0000
La2 0.1454 0.1454 0.2318
La3 0.8546 0.8546 0.7682
Ce1 0.5000 0.5000 0.5000
Pm1 0.1044 0.1044 0.7146
Pm2 0.2789 0.2789 0.2610
Pm3 0.7211 0.7211 0.7390
Pm4 0.8956 0.8956 0.2854

Largest 10 diffraction maxima, in order of rising 2θ, 2θ from 15° to 90°:
2θ/deg  intensity
25.8  45
27.6  73
29.0  77
29.4  89
29.9  72
30.9  75
31.7  100
32.5  65
35.4  44
37.4  57

---

SrVCr2: simulated PXRD pattern (copper Kα), based on a crystal structure in Alexandria, relaxed with GGA-PBE.
Peak positions follow from Bragg's law for the DFT cell and can differ from measured ones.

abc: 8.8281 8.8281 8.8281
angles: 147.05 147.05 47.29
Fractional coordinates of all 8 atoms:
Sr1 0.3750 0.6250 0.7500
Sr2 0.6250 0.3750 0.2500
V1 0.1250 0.8750 0.2500
V2 0.8750 0.1250 0.7500
Cr1 0.0000 0.0000 0.0000
Cr2 0.0000 0.0000 0.5000
Cr3 0.0000 0.5000 0.0000
Cr4 0.5000 0.0000 0.5000

Largest 10 diffraction maxima, in order of rising 2θ, 2θ from 15° to 90°:
2θ/deg  intensity
24.3  46
27.5  100
33.0  21
35.9  24
37.6  26
40.7  23
42.1  31
42.5  30
56.8  37
59.5  21

---

Pu2ZnSiAu6: simulated PXRD pattern (copper Kα), based on a crystal structure in Alexandria, relaxed with GGA-PBE.
Peak positions follow from Bragg's law for the DFT cell and can differ from measured ones.

abc: 6.8766 6.8766 6.8766
angles: 60.00 60.00 60.00
Fractional coordinates of all 10 atoms:
Pu1 0.2500 0.2500 0.2500
Pu2 0.7500 0.7500 0.7500
Zn1 0.0000 0.0000 0.0000
Si1 0.5000 0.5000 0.5000
Au1 0.2539 0.2539 0.7461
Au2 0.2539 0.7461 0.2539
Au3 0.2539 0.7461 0.7461
Au4 0.7461 0.2539 0.2539
Au5 0.7461 0.2539 0.7461
Au6 0.7461 0.7461 0.2539

Largest 10 diffraction maxima, in order of rising 2θ, 2θ from 15° to 90°:
2θ/deg  intensity
25.9  3
31.9  100
37.0  65
45.7  1
53.3  46
63.4  43
66.6  16
72.8  1
78.7  7
87.4  19

---

Dy8Tl3Te4: simulated PXRD pattern (copper Kα), based on a crystal structure in Alexandria, relaxed with GGA-PBE.
Peak positions follow from Bragg's law for the DFT cell and can differ from measured ones.

abc: 8.6696 8.6696 8.5894
angles: 119.59 119.59 90.07
Fractional coordinates of all 15 atoms:
Dy1 0.2403 0.2403 0.9906
Dy2 0.2423 0.2423 0.4846
Dy3 0.2445 0.7555 0.0000
Dy4 0.2504 0.7496 0.5000
Dy5 0.7496 0.2504 0.5000
Dy6 0.7555 0.2445 0.0000
Dy7 0.7577 0.7577 0.5154
Dy8 0.7597 0.7597 0.0094
Tl1 0.0000 0.0000 0.5000
Tl2 0.0000 0.5000 0.5000
Tl3 0.5000 0.0000 0.5000
Te1 0.0000 0.5000 0.0000
Te2 0.5000 0.0000 0.0000
Te3 0.5000 0.5000 0.0000
Te4 0.5000 0.5000 0.5000

Largest 10 diffraction maxima, in order of rising 2θ, 2θ from 15° to 90°:
2θ/deg  intensity
29.1  100
41.2  13
41.6  51
42.1  12
51.2  14
52.0  13
60.4  8
68.3  12
68.5  12
75.5  4

---

Pr6Si2Ag: simulated PXRD pattern (copper Kα), based on a crystal structure in Alexandria, relaxed with GGA-PBE.
Peak positions follow from Bragg's law for the DFT cell and can differ from measured ones.

abc: 8.8364 8.8364 8.8364
angles: 110.53 110.30 107.60
Fractional coordinates of all 18 atoms:
Pr1 0.0478 0.2484 0.7993
Pr2 0.1749 0.2693 0.4441
Pr3 0.1749 0.7307 0.9056
Pr4 0.3244 0.0283 0.7038
Pr5 0.3244 0.6206 0.2962
Pr6 0.4491 0.2484 0.2007
Pr7 0.5509 0.7516 0.7993
Pr8 0.6756 0.3794 0.7038
Pr9 0.6756 0.9717 0.2962
Pr10 0.8251 0.2693 0.0944
Pr11 0.8251 0.7307 0.5559
Pr12 0.9522 0.7516 0.2007
Si1 0.1143 0.6143 0.5000
Si2 0.3667 0.0000 0.3667
Si3 0.6333 0.0000 0.6333
Si4 0.8857 0.3857 0.5000
Ag1 0.0000 0.0000 0.0000
Ag2 0.5000 0.5000 0.0000

Largest 10 diffraction maxima, in order of rising 2θ, 2θ from 15° to 90°:
2θ/deg  intensity
27.1  23
27.9  24
28.0  25
30.4  100
32.5  32
32.9  39
33.1  40
34.4  15
35.7  26
56.1  20

---

Na5B6C4: simulated PXRD pattern (copper Kα), based on a crystal structure in Alexandria, relaxed with GGA-PBE.
Peak positions follow from Bragg's law for the DFT cell and can differ from measured ones.

abc: 4.9556 8.4741 7.5795
angles: 90.00 109.08 90.00
Fractional coordinates of all 30 atoms:
Na1 0.0000 0.0000 0.0000
Na2 0.0000 0.5000 0.0000
Na3 0.2009 0.9998 0.3998
Na4 0.2009 0.5002 0.3998
Na5 0.3995 0.0021 0.7994
Na6 0.3995 0.4979 0.7994
Na7 0.6005 0.5021 0.2006
Na8 0.6005 0.9979 0.2006
Na9 0.7991 0.0002 0.6002
Na10 0.7991 0.4998 0.6002
B1 0.0694 0.2500 0.8109
B2 0.1316 0.2500 0.5996
B3 0.1419 0.7500 0.6116
B4 0.2661 0.2500 0.2004
B5 0.3341 0.7500 0.0003
B6 0.4837 0.2500 0.5994
B7 0.5163 0.7500 0.4006
B8 0.6659 0.2500 0.9997
B9 0.7339 0.7500 0.7996
B10 0.8581 0.2500 0.3884
B11 0.8684 0.7500 0.4004
B12 0.9306 0.7500 0.1891
C1 0.0740 0.7500 0.8058
C2 0.2661 0.7500 0.1979
C3 0.3315 0.2500 0.0054
C4 0.4685 0.7500 0.6025
C5 0.5315 0.2500 0.3975
C6 0.6685 0.7500 0.9946
C7 0.7339 0.2500 0.8021
C8 0.9260 0.2500 0.1942

Largest 10 diffraction maxima, in order of rising 2θ, 2θ from 15° to 90°:
2θ/deg  intensity
36.2  18
42.2  100
42.7  25
57.2  10
65.2  17
69.3  2
76.9  1
77.8  12
80.8  11
81.1  17

---

Li5Ca: simulated PXRD pattern (copper Kα), based on a crystal structure in Alexandria, relaxed with GGA-PBE.
Peak positions follow from Bragg's law for the DFT cell and can differ from measured ones.

abc: 6.0642 6.0642 4.5767
angles: 90.00 90.00 120.00
Fractional coordinates of all 6 atoms:
Li1 0.0000 0.5000 0.0000
Li2 0.3333 0.6667 0.5000
Li3 0.5000 0.0000 0.0000
Li4 0.5000 0.5000 0.0000
Li5 0.6667 0.3333 0.5000
Ca1 0.0000 0.0000 0.5000

Largest 10 diffraction maxima, in order of rising 2θ, 2θ from 15° to 90°:
2θ/deg  intensity
16.9  81
19.4  27
25.8  100
29.5  44
34.1  36
35.5  76
49.9  18
50.1  28
53.1  18
56.3  19

---

Question: Which formula does entry 1 have?
Answer: Dy2Ho3Ga4